Simulated powder X-ray diffraction pattern of Zn2Ga2S5 for Cu Ka, from a PBE-relaxed structure.
No peak broadening, texture or thermal motion is included.

Crystal structure
```
Zn2Ga2S5
1.0
3.698 0.000 0.000
-1.849 3.203 0.000
0.000 0.000 31.598
Zn Ga S
4 4 10
Cartesian
0.000 0.000 6.401 Zn
0.000 0.000 9.397 Zn
0.000 0.000 22.200 Zn
0.000 0.000 25.196 Zn
0.000 2.135 2.944 Ga
0.000 2.135 12.855 Ga
1.849 1.068 18.743 Ga
1.849 1.068 28.653 Ga
0.000 2.135 5.159 S
0.000 2.135 10.640 S
0.000 2.135 17.718 S
0.000 2.135 23.698 S
0.000 2.135 29.679 S
1.849 1.068 1.919 S
1.849 1.068 7.899 S
1.849 1.068 13.880 S
1.849 1.068 20.958 S
1.849 1.068 26.438 S
```

Peak list (10 most intense, 10 to 90 degrees two-theta, by angle)
2θ/deg	intensity
16.84	39.0
22.51	39.6
28.44	91.0
29.14	48.4
30.11	44.9
31.31	44.4
32.73	35.8
44.55	69.7
46.93	40.8
49.28	100.0

=====

Simulated powder X-ray diffraction pattern of Zn2Ga2S5 for Cu Ka, from a PBE-relaxed structure.
No peak broadening, texture or thermal motion is included.

Crystal structure
```
Zn2Ga2S5
1.0
3.751 0.000 0.000
-1.875 3.248 0.000
0.000 0.000 30.209
Zn Ga S
4 4 10
Cartesian
0.000 2.165 0.000 Zn
0.000 2.165 7.782 Zn
1.875 1.083 15.104 Zn
1.875 1.083 22.887 Zn
0.000 0.000 11.418 Ga
0.000 0.000 26.523 Ga
0.000 2.165 19.608 Ga
1.875 1.083 4.504 Ga
0.000 2.165 3.608 S
0.000 2.165 10.031 S
0.000 2.165 15.847 S
0.000 2.165 21.925 S
0.000 2.165 27.716 S
1.875 1.083 0.743 S
1.875 1.083 6.820 S
1.875 1.083 12.612 S
1.875 1.083 18.713 S
1.875 1.083 25.135 S
```

Peak list (10 most intense, 10 to 90 degrees two-theta, by angle)
2θ/deg	intensity
23.56	89.9
27.46	35.8
28.10	49.9
28.88	96.9
29.95	46.7
40.79	32.9
43.14	37.4
48.55	100.0
53.54	52.4
54.65	53.9

=====

Simulated powder X-ray diffraction pattern of Zn4Ga2S7 for Cu Ka, from a PBE-relaxed structure.
No peak broadening, texture or thermal motion is included.

Crystal structure
```
Zn4Ga2S7
1.0
9.775 0.000 0.000
0.000 7.250 0.000
-4.255 0.000 9.063
Zn Ga S
8 4 14
Cartesian
0.087 1.812 0.156 Zn
-0.604 1.812 5.653 Zn
0.527 5.437 3.779 Zn
4.247 1.812 0.306 Zn
1.274 5.437 8.757 Zn
4.994 1.812 5.284 Zn
6.124 5.437 3.410 Zn
5.434 5.437 8.907 Zn
1.005 1.812 3.291 Ga
3.588 5.437 2.057 Ga
1.933 1.812 7.007 Ga
4.515 5.437 5.773 Ga
-0.564 0.205 3.804 S
-0.564 3.420 3.804 S
1.368 5.437 1.409 S
1.963 1.812 1.220 S
0.318 0.213 7.474 S
0.318 3.412 7.474 S
2.839 5.437 4.213 S
2.682 1.812 4.851 S
5.203 3.838 1.589 S
5.203 7.037 1.589 S
3.557 5.437 7.844 S
4.152 1.812 7.654 S
6.085 3.829 5.260 S
6.085 7.045 5.260 S
```

Peak list (10 most intense, 10 to 90 degrees two-theta, by angle)
2θ/deg	intensity
15.80	35.9
16.71	36.8
18.20	86.7
24.56	100.0
26.82	76.7
29.57	37.0
36.00	68.9
44.10	56.2
48.19	47.2
50.34	43.1

=====

Simulated powder X-ray diffraction pattern of Ga2Sb for Cu Ka, from a PBE-relaxed structure.
No peak broadening, texture or thermal motion is included.

Crystal structure
```
Ga2Sb
1.0
5.396 0.000 0.000
0.000 8.803 0.000
0.000 0.000 5.677
Ga Sb
8 4
Cartesian
0.000 0.014 1.419 Ga
0.000 2.912 1.419 Ga
0.000 5.890 4.258 Ga
0.000 8.788 4.258 Ga
2.698 1.489 4.258 Ga
2.698 4.387 4.258 Ga
2.698 4.416 1.419 Ga
2.698 7.314 1.419 Ga
0.000 2.923 4.258 Sb
0.000 5.880 1.419 Sb
2.698 1.479 1.419 Sb
2.698 7.324 4.258 Sb
```

Peak list (10 most intense, 10 to 90 degrees two-theta, by angle)
2θ/deg	intensity
31.52	65.3
33.21	56.8
34.80	100.0
46.44	43.9
47.66	81.1
60.36	19.6
69.70	25.3
73.47	11.4
76.65	19.2
82.13	16.1

=====

Simulated powder X-ray diffraction pattern of Ga3Sb2 for Cu Ka, from a PBE-relaxed structure.
No peak broadening, texture or thermal motion is included.

Crystal structure
```
Ga3Sb2
1.0
3.656 2.111 5.731
-3.656 2.111 5.731
0.000 -4.222 5.731
Ga Sb
6 4
Cartesian
-2.735 -0.516 7.164 Ga
-0.921 -2.627 10.029 Ga
1.815 -2.111 7.164 Ga
-1.815 2.111 10.029 Ga
0.921 2.627 7.164 Ga
2.735 0.516 10.029 Ga
0.000 0.000 2.026 Sb
0.000 0.000 6.570 Sb
0.000 0.000 10.623 Sb
0.000 0.000 15.167 Sb
```

Peak list (10 most intense, 10 to 90 degrees two-theta, by angle)
2θ/deg	intensity
24.34	67.7
25.04	62.8
28.97	69.5
31.21	35.0
35.20	90.6
37.95	32.1
42.84	55.1
43.26	100.0
44.52	42.6
68.13	25.7

=====

Simulated powder X-ray diffraction pattern of Ga2Sb for Cu Ka, from a PBE-relaxed structure.
No peak broadening, texture or thermal motion is included.

Crystal structure
```
Ga2Sb
1.0
0.000 4.043 4.043
4.043 0.000 4.043
4.043 4.043 0.000
Ga Sb
4 2
Cartesian
0.000 0.000 0.000 Ga
2.022 2.022 0.000 Ga
2.022 0.000 2.022 Ga
0.000 2.022 2.022 Ga
3.032 3.032 3.032 Sb
5.054 5.054 5.054 Sb
```

Peak list (10 most intense, 10 to 90 degrees two-theta, by angle)
2θ/deg	intensity
19.01	1.0
31.29	45.1
36.87	100.0
38.57	25.1
55.69	17.1
59.39	32.2
65.28	25.6
74.17	7.3
77.39	11.0
78.46	8.8

=====

Simulated powder X-ray diffraction pattern of Ga6Sb for Cu Ka, from a PBE-relaxed structure.
No peak broadening, texture or thermal motion is included.

Crystal structure
```
Ga6Sb
1.0
7.109 0.000 0.000
0.000 7.109 0.000
0.000 0.000 7.109
Ga Sb
12 2
Cartesian
0.000 1.777 3.554 Ga
0.000 3.554 1.777 Ga
0.000 3.554 5.332 Ga
0.000 5.332 3.554 Ga
1.777 0.000 3.554 Ga
1.777 3.554 0.000 Ga
3.554 0.000 1.777 Ga
3.554 0.000 5.332 Ga
3.554 1.777 0.000 Ga
3.554 5.332 0.000 Ga
5.332 0.000 3.554 Ga
5.332 3.554 0.000 Ga
0.000 0.000 0.000 Sb
3.554 3.554 3.554 Sb
```

Peak list (10 most intense, 10 to 90 degrees two-theta, by angle)
2θ/deg	intensity
25.05	42.5
30.81	100.0
44.13	17.5
47.88	57.7
51.42	25.5
58.02	16.0
61.15	13.6
72.88	15.9
75.68	15.6
83.90	16.4

=====

Simulated powder X-ray diffraction pattern of Ga2Sb for Cu Ka, from a PBE-relaxed structure.
No peak broadening, texture or thermal motion is included.

Crystal structure
```
Ga2Sb
1.0
5.076 0.000 0.000
-2.538 4.396 0.000
0.000 0.000 6.077
Ga Sb
4 2
Cartesian
0.000 0.000 0.000 Ga
0.000 0.000 3.038 Ga
0.000 2.931 1.519 Ga
2.538 1.465 4.557 Ga
0.000 2.931 4.557 Sb
2.538 1.465 1.519 Sb
```

Peak list (10 most intense, 10 to 90 degrees two-theta, by angle)
2θ/deg	intensity
25.00	11.6
29.40	11.1
35.37	100.0
35.93	77.8
46.63	18.4
51.30	27.5
63.49	17.5
63.86	27.9
72.52	23.4
85.90	12.1